The following is a simulated powder diffraction line list of NaCo2H3Se2O10. It was derived from a crystal structure in Alexandria, relaxed with PBE+U, using copper Kα.
No peak broadening, texture or thermal motion is included.

Structural model:
```
data_NaCo2H3Se2O10
_cell_length_a 9.032
_cell_length_b 6.503
_cell_length_c 7.653
_cell_angle_alpha 90.00
_cell_angle_beta 115.54
_cell_angle_gamma 90.00
_symmetry_space_group_name_H-M 'C 1 m 1'
_symmetry_Int_Tables_number 8
loop_
_symmetry_equiv_pos_as_xyz
'x,y,z'
'x,-y,z'
'x+1/2,y+1/2,z'
'x+1/2,-y+1/2,z'
loop_
_atom_site_label
_atom_site_fract_x
_atom_site_fract_y
_atom_site_fract_z
Na1 0.000 0.000 0.000
Co1 0.252 0.253 0.497
H1 0.017 0.000 0.511
H2 0.192 0.000 0.724
H3 0.314 0.500 0.280
Se1 0.088 0.500 0.792
Se2 0.411 0.000 0.205
O1 0.028 0.287 0.250
O2 0.153 0.000 0.581
O3 0.183 0.500 0.641
O4 0.235 0.500 0.014
O5 0.264 0.000 0.982
O6 0.313 0.000 0.353
O7 0.350 0.500 0.422
O8 0.471 0.213 0.748
```

Main lines, by angle (15° ≤ 2θ ≤ 90°):
index  two_theta  d (Å)  I/Imax
1 1 0  17.4  5.083  96.0
1 1 1  24.4  3.651  35.8
2 0 -2  25.6  3.475  100.0
1 1 -2  27.0  3.298  89.9
2 0 1  29.9  2.990  83.4
0 2 1  30.4  2.942  50.6
3 1 -1  32.8  2.730  45.0
2 2 -1  34.2  2.625  99.6
0 0 4  53.0  1.726  32.9
4 2 -3  53.5  1.714  50.6